(1)
NiRu2: theoretical powder X-ray diffraction pattern (λ = 1.5418 Å (Cu Kα)), based on a crystal structure in Alexandria, relaxed with GGA-PBE.

Structural model:
a b c (Å): 2.692 3.677 7.877
angles (deg): 90.00 90.00 90.00
Positions (direct):
Ni1 0.000 0.000 0.000
Ni2 0.500 0.500 0.500
Ru1 0.000 0.000 0.333
Ru2 0.000 0.000 0.667
Ru3 0.500 0.500 0.167
Ru4 0.500 0.500 0.833

Principal peaks in the range 2θ from 5° to 70°, low angle first:
| 2θ/deg | I (rel.) |
| --- | --- |
| 22.58 | 5 |
| 26.76 | 6 |
| 35.24 | 3 |
| 41.58 | 100 |
| 42.30 | 95 |
| 47.83 | 3 |
| 48.43 | 64 |
| 49.58 | 30 |
| 55.13 | 1 |
| 62.28 | 1 |
| 63.80 | 1 |
| 69.90 | 10 |

***

(2)
PmY4Sb5: theoretical powder X-ray diffraction pattern (λ = 1.5418 Å (Cu Kα)), based on a crystal structure in Alexandria, relaxed with GGA-PBE.

Structural model:
a b c (Å): 11.669 11.669 11.669
angles (deg): 158.21 148.98 38.23
Positions (direct):
Pm1 0.000 0.000 0.000
Y1 0.201 0.201 0.000
Y2 0.400 0.400 0.000
Y3 0.600 0.600 0.000
Y4 0.799 0.799 0.000
Sb1 0.102 0.602 0.500
Sb2 0.300 0.800 0.500
Sb3 0.500 0.000 0.500
Sb4 0.700 0.200 0.500
Sb5 0.898 0.398 0.500

Principal peaks in the range 2θ from 5° to 70°, low angle first:
| 2θ/deg | I (rel.) |
| --- | --- |
| 8.02 | 1 |
| 14.75 | 1 |
| 24.72 | 1 |
| 28.62 | 100 |
| 40.92 | 75 |
| 48.39 | 1 |
| 50.69 | 27 |
| 59.25 | 12 |
| 67.10 | 34 |

***

(3)
Rb3Sn4Pt: theoretical powder X-ray diffraction pattern (λ = 1.5418 Å (Cu Kα)), based on a crystal structure in Alexandria, relaxed with GGA-PBE.

Structural model:
a b c (Å): 7.372 13.783 6.209
angles (deg): 90.00 90.00 90.00
Positions (direct):
Rb1 0.250 0.012 0.162
Rb2 0.250 0.250 0.542
Rb3 0.250 0.488 0.162
Rb4 0.750 0.512 0.838
Rb5 0.750 0.750 0.458
Rb6 0.750 0.988 0.838
Sn1 0.032 0.750 0.968
Sn2 0.250 0.630 0.659
Sn3 0.250 0.870 0.659
Sn4 0.468 0.750 0.968
Sn5 0.532 0.250 0.032
Sn6 0.750 0.130 0.341
Sn7 0.750 0.370 0.341
Sn8 0.968 0.250 0.032
Pt1 0.250 0.750 0.320
Pt2 0.750 0.250 0.680

Principal peaks in the range 2θ from 5° to 70°, low angle first:
| 2θ/deg | I (rel.) |
| --- | --- |
| 12.85 | 75 |
| 13.62 | 100 |
| 24.12 | 57 |
| 25.86 | 23 |
| 28.15 | 33 |
| 31.06 | 67 |
| 32.09 | 62 |
| 34.37 | 36 |
| 34.88 | 17 |
| 46.02 | 22 |
| 47.77 | 30 |
| 48.97 | 16 |

***

(4)
Ag3Bi8S13: theoretical powder X-ray diffraction pattern (λ = 1.5418 Å (Cu Kα)), based on a crystal structure in Alexandria, relaxed with GGA-PBE.

Structural model:
a b c (Å): 6.943 6.943 21.740
angles (deg): 93.01 93.01 34.93
Positions (direct):
Ag1 0.000 0.000 0.000
Ag2 0.420 0.420 0.625
Ag3 0.580 0.580 0.375
Bi1 0.029 0.029 0.215
Bi2 0.140 0.140 0.541
Bi3 0.257 0.257 0.919
Bi4 0.306 0.306 0.297
Bi5 0.694 0.694 0.703
Bi6 0.743 0.743 0.081
Bi7 0.860 0.860 0.459
Bi8 0.971 0.971 0.785
S1 0.061 0.061 0.657
S2 0.102 0.102 0.103
S3 0.225 0.225 0.423
S4 0.337 0.337 0.734
S5 0.356 0.356 0.027
S6 0.391 0.391 0.187
S7 0.500 0.500 0.500
S8 0.609 0.609 0.813
S9 0.644 0.644 0.973
S10 0.663 0.663 0.266
S11 0.775 0.775 0.577
S12 0.898 0.898 0.897
S13 0.939 0.939 0.343

Principal peaks in the range 2θ from 5° to 70°, low angle first:
| 2θ/deg | I (rel.) |
| --- | --- |
| 23.91 | 17 |
| 25.15 | 48 |
| 25.39 | 75 |
| 27.05 | 37 |
| 27.44 | 30 |
| 30.96 | 100 |
| 31.17 | 24 |
| 43.43 | 29 |
| 44.25 | 20 |
| 44.76 | 26 |
| 45.25 | 18 |
| 50.84 | 21 |